No. 1
# TbPS4
Theoretical XRD peak list, Cu Kα X-rays. Input: DFT lattice parameters and positions (PBE).

```
data_TbPS4
_cell_length_a 10.835
_cell_length_b 10.835
_cell_length_c 19.118
_cell_angle_alpha 90.00
_cell_angle_beta 90.00
_cell_angle_gamma 90.00
_space_group_name_H-M_alt 'I 41/a c d'
_space_group_IT_number 142
loop_
_space_group_symop_operation_xyz
'x,y,z'
'-x,-y,-z'
'-y+1/4,x+3/4,z+1/4'
'y+1/4,-x+3/4,-z+1/4'
'-x+1/2,-y,z+1/2'
'x+1/2,y,-z+1/2'
'y+1/4,-x+1/4,z+3/4'
'-y+1/4,x+1/4,-z+3/4'
'x,-y,-z+1/2'
'-x,y,z+1/2'
'-y+1/4,-x+1/4,-z+1/4'
'y+1/4,x+1/4,z+1/4'
'-x+1/2,y,-z'
'x+1/2,-y,z'
'y+1/4,x+3/4,-z+3/4'
'-y+1/4,-x+3/4,z+3/4'
'x+1/2,y+1/2,z+1/2'
'-x+1/2,-y+1/2,-z+1/2'
'-y+3/4,x+1/4,z+3/4'
'y+3/4,-x+1/4,-z+3/4'
'-x,-y+1/2,z'
'x,y+1/2,-z'
'y+3/4,-x+3/4,z+1/4'
'-y+3/4,x+3/4,-z+1/4'
'x+1/2,-y+1/2,-z'
'-x+1/2,y+1/2,z'
'-y+3/4,-x+3/4,-z+3/4'
'y+3/4,x+3/4,z+3/4'
'-x,y+1/2,-z+1/2'
'x,-y+1/2,z+1/2'
'y+3/4,x+1/4,-z+1/4'
'-y+3/4,-x+1/4,z+1/4'
loop_
_atom_site_label
_atom_site_fract_x
_atom_site_fract_y
_atom_site_fract_z
Tb1 0.000 0.250 0.125
Tb2 0.000 0.250 0.375
P1 0.038 0.000 0.250
S1 0.064 0.003 0.840
S2 0.088 0.114 0.003
```

Principal peaks in the range 2θ = 10–90°, by angle:
| 2theta | d_spacing | I (rel.) | hkl |
| --- | --- | --- | --- |
| 16.36 | 5.418 | 100 | 2 0 0 |
| 24.84 | 3.584 | 62 | 2 0 4 |
| 29.89 | 2.989 | 50 | 2 2 4 |
| 33.07 | 2.709 | 19 | 4 0 0 |
| 37.11 | 2.423 | 33 | 4 2 0 |
| 38.19 | 2.357 | 42 | 4 0 4 |
| 41.29 | 2.186 | 23 | 2 0 8 |
| 41.80 | 2.161 | 52 | 4 2 4 |

***

No. 2
# Tb8Te3P3S
Theoretical XRD peak list, Cu Kα X-rays. Input: DFT lattice parameters and positions (PBE).

```
data_Tb8Te3P3S
_cell_length_a 8.1572
_cell_length_b 8.1572
_cell_length_c 21.0635
_cell_angle_alpha 90.00
_cell_angle_beta 90.00
_cell_angle_gamma 120.00
_space_group_name_H-M_alt 'R -3 m'
_space_group_IT_number 166
_space_group_name_Hall '-R 3 2"'
loop_
_atom_site_label
_atom_site_fract_x
_atom_site_fract_y
_atom_site_fract_z
Tb1 0.0000 0.0000 0.2360
Tb2 0.0048 0.5024 0.7620
Te1 0.0000 0.5000 0.0000
P1 0.0000 0.5000 0.5000
S1 0.0000 0.0000 0.5000
```

Principal peaks in the range 2θ = 10–90°, by angle:
| 2theta | d_spacing | I (rel.) | hkl |
| --- | --- | --- | --- |
| 26.62 | 3.349 | 27 | 2 0 2 |
| 30.47 | 2.933 | 100 | 0 2 4 |
| 33.10 | 2.707 | 15 | 2 0 5 |
| 42.84 | 2.111 | 31 | 2 0 8 |
| 44.42 | 2.039 | 38 | 2 2 0 |
| 54.83 | 1.674 | 19 | 4 0 4 |
| 60.19 | 1.538 | 11 | 2 2 9 |
| 73.13 | 1.294 | 16 | 2 4 4 |

***

No. 3
# Tb6TlP3S2
Theoretical XRD peak list, Cu Kα X-rays. Input: DFT lattice parameters and positions (PBE).

```
data_Tb6TlP3S2
_cell_length_a 17.689
_cell_length_b 4.009
_cell_length_c 8.224
_cell_angle_alpha 90.00
_cell_angle_beta 102.87
_cell_angle_gamma 90.00
_space_group_name_H-M_alt 'C 1 2/m 1'
_space_group_IT_number 12
loop_
_space_group_symop_operation_xyz
'x,y,z'
'-x,-y,-z'
'-x,y,-z'
'x,-y,z'
'x+1/2,y+1/2,z'
'-x+1/2,-y+1/2,-z'
'-x+1/2,y+1/2,-z'
'x+1/2,-y+1/2,z'
loop_
_atom_site_label
_atom_site_fract_x
_atom_site_fract_y
_atom_site_fract_z
Tb1 0.002 0.000 0.274
Tb2 0.165 0.500 0.591
Tb3 0.175 0.500 0.087
Tl1 0.000 0.500 0.000
P1 0.000 0.500 0.500
P2 0.166 0.000 0.833
S1 0.170 0.000 0.341
```

Principal peaks in the range 2θ = 10–90°, by angle:
| 2theta | d_spacing | I (rel.) | hkl |
| --- | --- | --- | --- |
| 27.12 | 3.288 | 19 | 3 1 0 |
| 31.15 | 2.872 | 100 | 1 1 -2 |
| 44.05 | 2.056 | 12 | 2 0 -4 |
| 44.45 | 2.038 | 24 | 5 1 2 |
| 44.78 | 2.024 | 24 | 7 1 -2 |
| 45.24 | 2.005 | 12 | 0 2 0 |
| 55.92 | 1.644 | 13 | 6 2 0 |
| 64.95 | 1.436 | 11 | 2 2 -4 |

***

No. 4
# TcPS2
Theoretical XRD peak list, Cu Kα X-rays. Input: DFT lattice parameters and positions (PBE).

```
data_TcPS2
_cell_length_a 20.491
_cell_length_b 3.058
_cell_length_c 5.771
_cell_angle_alpha 90.00
_cell_angle_beta 97.80
_cell_angle_gamma 90.00
_space_group_name_H-M_alt 'C 1 m 1'
_space_group_IT_number 8
loop_
_space_group_symop_operation_xyz
'x,y,z'
'x,-y,z'
'x+1/2,y+1/2,z'
'x+1/2,-y+1/2,z'
loop_
_atom_site_label
_atom_site_fract_x
_atom_site_fract_y
_atom_site_fract_z
Tc1 0.000 0.000 0.000
Tc2 0.003 0.500 0.407
P1 0.303 0.500 0.130
P2 0.415 0.000 0.095
S1 0.066 0.500 0.805
S2 0.084 0.000 0.316
S3 0.250 0.000 0.932
S4 0.436 0.500 0.607
```

Principal peaks in the range 2θ = 10–90°, by angle:
| 2theta | d_spacing | I (rel.) | hkl |
| --- | --- | --- | --- |
| 15.50 | 5.717 | 26 | 0 0 1 |
| 17.47 | 5.075 | 100 | 4 0 0 |
| 33.71 | 2.659 | 27 | 2 0 2 |
| 35.03 | 2.562 | 65 | 3 1 -1 |
| 38.17 | 2.358 | 27 | 4 0 2 |
| 38.89 | 2.315 | 62 | 5 1 -1 |
| 44.39 | 2.041 | 38 | 8 0 -2 |
| 47.49 | 1.915 | 27 | 7 1 1 |

***

No. 5
# ThPS
Theoretical XRD peak list, Cu Kα X-rays. Input: DFT lattice parameters and positions (PBE).

```
data_ThPS
_cell_length_a 3.958
_cell_length_b 3.958
_cell_length_c 8.232
_cell_angle_alpha 90.00
_cell_angle_beta 90.00
_cell_angle_gamma 90.00
_space_group_name_H-M_alt 'P 4/n m m'
_space_group_IT_number 129
loop_
_space_group_symop_operation_xyz
'x,y,z'
'-x,-y,-z'
'-y+1/2,x,z'
'y+1/2,-x,-z'
'-x+1/2,-y+1/2,z'
'x+1/2,y+1/2,-z'
'y,-x+1/2,z'
'-y,x+1/2,-z'
'x+1/2,-y,-z'
'-x+1/2,y,z'
'-y,-x,-z'
'y,x,z'
'-x,y+1/2,-z'
'x,-y+1/2,z'
'y+1/2,x+1/2,-z'
'-y+1/2,-x+1/2,z'
loop_
_atom_site_label
_atom_site_fract_x
_atom_site_fract_y
_atom_site_fract_z
Th1 0.250 0.250 0.232
P1 0.250 0.750 0.500
S1 0.250 0.250 0.867
```

Principal peaks in the range 2θ = 10–90°, by angle:
| 2theta | d_spacing | I (rel.) | hkl |
| --- | --- | --- | --- |
| 21.59 | 4.116 | 33 | 0 0 2 |
| 24.96 | 3.567 | 100 | 1 0 1 |
| 31.98 | 2.799 | 36 | 1 1 0 |
| 38.91 | 2.314 | 53 | 1 1 2 |
| 39.98 | 2.255 | 41 | 1 0 3 |
| 45.85 | 1.979 | 21 | 2 0 0 |
| 52.91 | 1.731 | 28 | 2 1 1 |
| 62.43 | 1.487 | 23 | 2 1 3 |

***

No. 6
# ThP2S6
Theoretical XRD peak list, Cu Kα X-rays. Input: DFT lattice parameters and positions (PBE).

```
data_ThP2S6
_cell_length_a 6.5965
_cell_length_b 6.5965
_cell_length_c 22.0583
_cell_angle_alpha 90.00
_cell_angle_beta 90.00
_cell_angle_gamma 120.00
_space_group_name_H-M_alt 'R 3'
_space_group_IT_number 146
_space_group_name_Hall 'R 3'
loop_
_atom_site_label
_atom_site_fract_x
_atom_site_fract_y
_atom_site_fract_z
Th1 0.0000 0.0000 0.0000
P1 0.0000 0.0000 0.2817
P2 0.0000 0.0000 0.3837
S1 0.0504 0.3609 0.0777
S2 0.0546 0.6965 0.9208
```

Principal peaks in the range 2θ = 10–90°, by angle:
| 2theta | d_spacing | I (rel.) | hkl |
| --- | --- | --- | --- |
| 12.04 | 7.353 | 100 | 0 0 3 |
| 16.03 | 5.530 | 86 | 1 0 1 |
| 17.48 | 5.073 | 68 | 0 1 2 |
| 22.41 | 3.968 | 43 | 1 0 4 |
| 25.51 | 3.492 | 35 | 0 1 5 |
| 29.69 | 3.009 | 82 | 2 -1 3 |
| 32.42 | 2.761 | 37 | 1 0 7 |
| 36.60 | 2.455 | 47 | 2 -1 6 |

***

No. 7
# ThP2S6
Theoretical XRD peak list, Cu Kα X-rays. Input: DFT lattice parameters and positions (PBE).

```
data_ThP2S6
_cell_length_a 7.117
_cell_length_b 7.117
_cell_length_c 9.895
_cell_angle_alpha 90.00
_cell_angle_beta 90.00
_cell_angle_gamma 90.00
_space_group_name_H-M_alt 'P 42/m'
_space_group_IT_number 84
loop_
_space_group_symop_operation_xyz
'x,y,z'
'-x,-y,-z'
'-y,x,z+1/2'
'y,-x,-z+1/2'
'-x,-y,z'
'x,y,-z'
'y,-x,z+1/2'
'-y,x,-z+1/2'
loop_
_atom_site_label
_atom_site_fract_x
_atom_site_fract_y
_atom_site_fract_z
Th1 0.000 0.000 0.250
P1 0.059 0.350 0.000
S1 0.173 0.823 0.000
S2 0.209 0.321 0.172
```

Principal peaks in the range 2θ = 10–90°, by angle:
| 2theta | d_spacing | I (rel.) | hkl |
| --- | --- | --- | --- |
| 12.44 | 7.117 | 100 | 1 0 0 |
| 17.62 | 5.032 | 24 | 1 1 0 |
| 21.88 | 4.062 | 25 | 1 0 2 |
| 25.24 | 3.528 | 34 | 1 1 2 |
| 28.04 | 3.183 | 24 | 1 2 0 |
| 33.48 | 2.677 | 44 | 1 2 2 |
| 38.53 | 2.337 | 15 | 1 0 4 |
| 44.21 | 2.049 | 18 | 3 1 2 |

***

No. 8
# TiPS4
Theoretical XRD peak list, Cu Kα X-rays. Input: DFT lattice parameters and positions (PBE).

```
data_TiPS4
_cell_length_a 14.241
_cell_length_b 3.319
_cell_length_c 6.042
_cell_angle_alpha 90.00
_cell_angle_beta 114.55
_cell_angle_gamma 90.00
_space_group_name_H-M_alt 'C 1 2/m 1'
_space_group_IT_number 12
loop_
_space_group_symop_operation_xyz
'x,y,z'
'-x,-y,-z'
'-x,y,-z'
'x,-y,z'
'x+1/2,y+1/2,z'
'-x+1/2,-y+1/2,-z'
'-x+1/2,y+1/2,-z'
'x+1/2,-y+1/2,z'
loop_
_atom_site_label
_atom_site_fract_x
_atom_site_fract_y
_atom_site_fract_z
Ti1 0.000 0.000 0.000
P1 0.000 0.500 0.500
S1 0.103 0.000 0.440
S2 0.104 0.500 0.913
```

Principal peaks in the range 2θ = 10–90°, by angle:
| 2theta | d_spacing | I (rel.) | hkl |
| --- | --- | --- | --- |
| 13.67 | 6.477 | 100 | 2 0 0 |
| 32.59 | 2.748 | 20 | 0 0 2 |
| 33.84 | 2.649 | 44 | 3 1 -1 |
| 40.65 | 2.220 | 16 | 2 0 2 |
| 41.84 | 2.159 | 27 | 5 1 -1 |
| 52.68 | 1.738 | 14 | 5 1 1 |
| 53.20 | 1.722 | 14 | 3 1 -3 |
| 55.35 | 1.660 | 9 | 0 2 0 |

***

No. 9
# Ti3PS3
Theoretical XRD peak list, Cu Kα X-rays. Input: DFT lattice parameters and positions (PBE).

```
data_Ti3PS3
_cell_length_a 9.856
_cell_length_b 9.856
_cell_length_c 9.856
_cell_angle_alpha 90.00
_cell_angle_beta 90.00
_cell_angle_gamma 90.00
_space_group_name_H-M_alt 'I 41 3 2'
_space_group_IT_number 214
_space_group_name_Hall 'I 4bd 2c 3'
loop_
_atom_site_label
_atom_site_fract_x
_atom_site_fract_y
_atom_site_fract_z
Ti1 0.121 0.371 0.125
P1 0.125 0.125 0.125
S1 0.124 0.126 0.625
```

Principal peaks in the range 2θ = 10–90°, by angle:
| 2theta | d_spacing | I (rel.) | hkl |
| --- | --- | --- | --- |
| 12.70 | 6.969 | 24 | 1 1 0 |
| 22.09 | 4.024 | 11 | 2 1 1 |
| 34.04 | 2.634 | 10 | 3 2 1 |
| 36.46 | 2.464 | 100 | 4 0 0 |
| 52.52 | 1.742 | 63 | 4 4 0 |
| 65.63 | 1.423 | 20 | 4 4 4 |
| 77.47 | 1.232 | 9 | 8 0 0 |
| 88.79 | 1.102 | 27 | 8 4 0 |

***

No. 10
# Ti3PS
Theoretical XRD peak list, Cu Kα X-rays. Input: DFT lattice parameters and positions (PBE).

```
data_Ti3PS
_cell_length_a 12.893
_cell_length_b 4.199
_cell_length_c 6.452
_cell_angle_alpha 90.00
_cell_angle_beta 92.82
_cell_angle_gamma 90.00
_space_group_name_H-M_alt 'C 1 2/m 1'
_space_group_IT_number 12
loop_
_space_group_symop_operation_xyz
'x,y,z'
'-x,-y,-z'
'-x,y,-z'
'x,-y,z'
'x+1/2,y+1/2,z'
'-x+1/2,-y+1/2,-z'
'-x+1/2,y+1/2,-z'
'x+1/2,-y+1/2,z'
loop_
_atom_site_label
_atom_site_fract_x
_atom_site_fract_y
_atom_site_fract_z
Ti1 0.042 0.000 0.251
Ti2 0.182 0.500 0.057
Ti3 0.183 0.000 0.581
P1 0.121 0.500 0.411
S1 0.128 0.000 0.927
```

Principal peaks in the range 2θ = 10–90°, by angle:
| 2theta | d_spacing | I (rel.) | hkl |
| --- | --- | --- | --- |
| 22.27 | 3.992 | 37 | 1 1 0 |
| 30.41 | 2.940 | 33 | 2 0 -2 |
| 31.66 | 2.826 | 32 | 2 0 2 |
| 38.55 | 2.336 | 35 | 4 0 -2 |
| 43.08 | 2.100 | 57 | 0 2 0 |
| 44.13 | 2.052 | 100 | 5 1 1 |
| 47.77 | 1.904 | 41 | 1 1 -3 |
| 48.43 | 1.880 | 31 | 1 1 3 |

***

No. 11
# TiP2S8
Theoretical XRD peak list, Cu Kα X-rays. Input: DFT lattice parameters and positions (PBE).

```
data_TiP2S8
_cell_length_a 6.6449
_cell_length_b 6.6449
_cell_length_c 6.7300
_cell_angle_alpha 90.00
_cell_angle_beta 90.00
_cell_angle_gamma 120.00
_space_group_name_H-M_alt 'P -3 m 1'
_space_group_IT_number 164
_space_group_name_Hall '-P 3 2"'
loop_
_atom_site_label
_atom_site_fract_x
_atom_site_fract_y
_atom_site_fract_z
Ti1 0.0000 0.0000 0.0000
P1 0.3333 0.6667 0.3099
S1 0.1590 0.3179 0.2370
S2 0.3333 0.6667 0.6059
```

Principal peaks in the range 2θ = 10–90°, by angle:
| 2theta | d_spacing | I (rel.) | hkl |
| --- | --- | --- | --- |
| 20.30 | 4.374 | 100 | 0 1 1 |
| 26.49 | 3.365 | 22 | 0 0 2 |
| 26.83 | 3.322 | 24 | 1 1 0 |
| 31.08 | 2.877 | 17 | 2 0 0 |
| 33.88 | 2.646 | 60 | 0 2 1 |
| 41.28 | 2.187 | 28 | 0 2 2 |
| 43.74 | 2.070 | 26 | 1 2 1 |
| 55.30 | 1.661 | 29 | 2 2 0 |

***

No. 12
# Tm4P3S
Theoretical XRD peak list, Cu Kα X-rays. Input: DFT lattice parameters and positions (PBE).

```
data_Tm4P3S
_cell_length_a 5.547
_cell_length_b 5.547
_cell_length_c 5.547
_cell_angle_alpha 90.00
_cell_angle_beta 90.00
_cell_angle_gamma 90.00
_space_group_name_H-M_alt 'P m -3 m'
_space_group_IT_number 221
_space_group_name_Hall '-P 4 2 3'
loop_
_atom_site_label
_atom_site_fract_x
_atom_site_fract_y
_atom_site_fract_z
Tm1 0.000 0.000 0.000
Tm2 0.000 0.500 0.500
P1 0.000 0.000 0.500
S1 0.500 0.500 0.500
```

Principal peaks in the range 2θ = 10–90°, by angle:
| 2theta | d_spacing | I (rel.) | hkl |
| --- | --- | --- | --- |
| 27.86 | 3.202 | 90 | 1 1 1 |
| 32.28 | 2.773 | 100 | 2 0 0 |
| 46.30 | 1.961 | 73 | 2 2 0 |
| 54.90 | 1.672 | 43 | 3 1 1 |
| 57.56 | 1.601 | 25 | 2 2 2 |
| 74.58 | 1.272 | 18 | 3 3 1 |
| 76.86 | 1.240 | 33 | 4 2 0 |
| 85.83 | 1.132 | 25 | 4 2 2 |

***

- What is the formula in the fourth record?
  TcPS2